(1)
The following is a theoretical powder XRD pattern of NbIn3Se2S2. It was derived from DFT lattice parameters and positions (PBE), using Cu Kα (λ = 1.5418 Å).

Structure:
```
data_NbIn3Se2S2
_cell_length_a 6.7884
_cell_length_b 6.6578
_cell_length_c 7.7521
_cell_angle_alpha 55.59
_cell_angle_beta 54.01
_cell_angle_gamma 70.41
_symmetry_space_group_name_H-M 'P 1'
_symmetry_Int_Tables_number 1
_symmetry_space_group_name_Hall 'P 1'
loop_
_atom_site_label
_atom_site_type_symbol
_atom_site_fract_x
_atom_site_fract_y
_atom_site_fract_z
Nb1 Nb 0.0000 0.0000 0.0000
In1 In 0.0313 0.0313 0.4687
In2 In 0.4891 0.4891 0.5109
In3 In 0.5313 0.5313 0.9687
Se1 Se 0.0060 0.6437 0.3563
Se2 Se 0.6437 0.0060 0.9940
S1 S 0.0026 0.3438 0.9974
S2 S 0.3438 0.0026 0.6562
```

Principal peaks in the range 2θ = 10–80°, low angle first:
| 2θ/deg | d [Å] | I/Imax |
| --- | --- | --- |
| 22.95 | 3.874 | 41 |
| 27.91 | 3.197 | 20 |
| 28.26 | 3.158 | 20 |
| 32.19 | 2.781 | 22 |
| 32.61 | 2.746 | 100 |
| 33.18 | 2.700 | 29 |

(2)
The following is a theoretical powder XRD pattern of Y2ErTl3AgPt2. It was derived from DFT lattice parameters and positions (PBE), using Cu Kα (λ = 1.5418 Å).

Structure:
```
data_Y2ErTl3AgPt2
_cell_length_a 3.7583
_cell_length_b 7.9207
_cell_length_c 7.9207
_cell_angle_alpha 119.78
_cell_angle_beta 90.00
_cell_angle_gamma 90.00
_symmetry_space_group_name_H-M 'P 1'
_symmetry_Int_Tables_number 1
_symmetry_space_group_name_Hall 'P 1'
loop_
_atom_site_label
_atom_site_type_symbol
_atom_site_fract_x
_atom_site_fract_y
_atom_site_fract_z
Y1 Y 0.0000 0.2047 0.7953
Y2 Y 0.0000 0.7953 0.2047
Er1 Er 0.0000 0.3847 0.3847
Tl1 Tl 0.5000 0.0657 0.0657
Tl2 Tl 0.5000 0.5245 0.7953
Tl3 Tl 0.5000 0.7953 0.5245
Ag1 Ag 0.0000 0.7944 0.7944
Pt1 Pt 0.5000 0.1315 0.4612
Pt2 Pt 0.5000 0.4612 0.1315
```

Principal peaks in the range 2θ = 10–80°, low angle first:
| 2θ/deg | d [Å] | I/Imax |
| --- | --- | --- |
| 32.84 | 2.728 | 100 |
| 34.53 | 2.598 | 40 |
| 35.41 | 2.535 | 84 |
| 39.32 | 2.291 | 40 |
| 42.30 | 2.137 | 31 |
| 64.14 | 1.452 | 56 |

(3)
The following is a theoretical powder XRD pattern of SmIn3Ag. It was derived from DFT lattice parameters and positions (PBE), using Cu Kα (λ = 1.5418 Å).

Structure:
```
data_SmIn3Ag
_cell_length_a 6.3993
_cell_length_b 6.3993
_cell_length_c 7.2892
_cell_angle_alpha 90.00
_cell_angle_beta 90.00
_cell_angle_gamma 120.00
_symmetry_space_group_name_H-M 'P 1'
_symmetry_Int_Tables_number 1
_symmetry_space_group_name_Hall 'P 1'
loop_
_atom_site_label
_atom_site_type_symbol
_atom_site_fract_x
_atom_site_fract_y
_atom_site_fract_z
Sm1 Sm 0.0000 0.0000 0.0000
Sm2 Sm 0.0000 0.0000 0.5000
In1 In 0.4697 0.0350 0.2500
In2 In 0.4697 0.4347 0.7500
In3 In 0.5653 0.0350 0.7500
In4 In 0.5653 0.5303 0.2500
In5 In 0.9650 0.4347 0.2500
In6 In 0.9650 0.5303 0.7500
Ag1 Ag 0.3333 0.6667 0.0000
Ag2 Ag 0.3333 0.6667 0.5000
```

Principal peaks in the range 2θ = 10–80°, low angle first:
| 2θ/deg | d [Å] | I/Imax |
| --- | --- | --- |
| 29.33 | 3.045 | 84 |
| 32.31 | 2.771 | 84 |
| 37.40 | 2.405 | 100 |
| 40.91 | 2.206 | 26 |
| 55.79 | 1.648 | 23 |
| 60.84 | 1.523 | 27 |

(4)
The following is a theoretical powder XRD pattern of DyYZn2Sn2. It was derived from DFT lattice parameters and positions (PBE), using Cu Kα (λ = 1.5418 Å).

Structure:
```
data_DyYZn2Sn2
_cell_length_a 4.5085
_cell_length_b 4.5085
_cell_length_c 15.8381
_cell_angle_alpha 90.00
_cell_angle_beta 90.00
_cell_angle_gamma 120.00
_symmetry_space_group_name_H-M 'P 1'
_symmetry_Int_Tables_number 1
_symmetry_space_group_name_Hall 'P 1'
loop_
_atom_site_label
_atom_site_type_symbol
_atom_site_fract_x
_atom_site_fract_y
_atom_site_fract_z
Dy1 Dy 0.0000 0.0000 0.0000
Dy2 Dy 0.0000 0.0000 0.5000
Y1 Y 0.0000 0.0000 0.2500
Y2 Y 0.0000 0.0000 0.7500
Zn1 Zn 0.3333 0.6667 0.1606
Zn2 Zn 0.3333 0.6667 0.3394
Zn3 Zn 0.6667 0.3333 0.6606
Zn4 Zn 0.6667 0.3333 0.8394
Sn1 Sn 0.3333 0.6667 0.6132
Sn2 Sn 0.3333 0.6667 0.8868
Sn3 Sn 0.6667 0.3333 0.1132
Sn4 Sn 0.6667 0.3333 0.3868
```

Principal peaks in the range 2θ = 10–80°, low angle first:
| 2θ/deg | d [Å] | I/Imax |
| --- | --- | --- |
| 28.43 | 3.139 | 22 |
| 32.20 | 2.780 | 100 |
| 40.00 | 2.254 | 66 |
| 46.38 | 1.958 | 19 |
| 52.24 | 1.751 | 25 |
| 67.77 | 1.383 | 23 |

(5)
The following is a theoretical powder XRD pattern of Ge2Pt5. It was derived from DFT lattice parameters and positions (PBE), using Cu Kα (λ = 1.5418 Å).

Structure:
```
data_Ge2Pt5
_cell_length_a 6.1615
_cell_length_b 6.1615
_cell_length_c 7.5365
_cell_angle_alpha 95.11
_cell_angle_beta 95.11
_cell_angle_gamma 54.60
_symmetry_space_group_name_H-M 'P 1'
_symmetry_Int_Tables_number 1
_symmetry_space_group_name_Hall 'P 1'
loop_
_atom_site_label
_atom_site_type_symbol
_atom_site_fract_x
_atom_site_fract_y
_atom_site_fract_z
Ge1 Ge 0.0680 0.2677 0.2669
Ge2 Ge 0.2677 0.0680 0.7669
Ge3 Ge 0.7323 0.9320 0.2331
Ge4 Ge 0.9320 0.7323 0.7331
Pt1 Pt 0.1264 0.6307 0.0441
Pt2 Pt 0.1340 0.6001 0.4226
Pt3 Pt 0.3693 0.8736 0.4559
Pt4 Pt 0.3999 0.8660 0.0774
Pt5 Pt 0.4049 0.5951 0.7500
Pt6 Pt 0.5951 0.4049 0.2500
Pt7 Pt 0.6001 0.1340 0.9226
Pt8 Pt 0.6307 0.1264 0.5441
Pt9 Pt 0.8660 0.3999 0.5774
Pt10 Pt 0.8736 0.3693 0.9559
```

Principal peaks in the range 2θ = 10–80°, low angle first:
| 2θ/deg | d [Å] | I/Imax |
| --- | --- | --- |
| 31.66 | 2.826 | 53 |
| 32.88 | 2.724 | 47 |
| 38.87 | 2.317 | 37 |
| 39.54 | 2.279 | 100 |
| 39.95 | 2.257 | 59 |
| 46.29 | 1.961 | 58 |

(6)
The following is a theoretical powder XRD pattern of Er13C2. It was derived from DFT lattice parameters and positions (PBE), using Cu Kα (λ = 1.5418 Å).

Structure:
```
data_Er13C2
_cell_length_a 7.9345
_cell_length_b 7.9345
_cell_length_c 7.9345
_cell_angle_alpha 83.54
_cell_angle_beta 83.54
_cell_angle_gamma 83.54
_symmetry_space_group_name_H-M 'P 1'
_symmetry_Int_Tables_number 1
_symmetry_space_group_name_Hall 'P 1'
loop_
_atom_site_label
_atom_site_type_symbol
_atom_site_fract_x
_atom_site_fract_y
_atom_site_fract_z
Er1 Er 0.0000 0.0000 0.0000
Er2 Er 0.1382 0.1382 0.4449
Er3 Er 0.1382 0.4449 0.1382
Er4 Er 0.1947 0.5326 0.5326
Er5 Er 0.4449 0.1382 0.1382
Er6 Er 0.4674 0.4674 0.8053
Er7 Er 0.4674 0.8053 0.4674
Er8 Er 0.5326 0.1947 0.5326
Er9 Er 0.5326 0.5326 0.1947
Er10 Er 0.5551 0.8618 0.8618
Er11 Er 0.8053 0.4674 0.4674
Er12 Er 0.8618 0.5551 0.8618
Er13 Er 0.8618 0.8618 0.5551
C1 C 0.1548 0.1548 0.1548
C2 C 0.8452 0.8452 0.8452
```

Principal peaks in the range 2θ = 10–80°, low angle first:
| 2θ/deg | d [Å] | I/Imax |
| --- | --- | --- |
| 22.67 | 3.922 | 21 |
| 26.42 | 3.374 | 30 |
| 34.30 | 2.615 | 100 |
| 37.34 | 2.408 | 21 |
| 46.58 | 1.950 | 22 |
| 51.90 | 1.762 | 23 |

(7)
The following is a theoretical powder XRD pattern of PrGd2Mg3AgAu2. It was derived from DFT lattice parameters and positions (PBE), using Cu Kα (λ = 1.5418 Å).

Structure:
```
data_PrGd2Mg3AgAu2
_cell_length_a 4.0548
_cell_length_b 7.8488
_cell_length_c 7.8488
_cell_angle_alpha 120.24
_cell_angle_beta 90.00
_cell_angle_gamma 90.00
_symmetry_space_group_name_H-M 'P 1'
_symmetry_Int_Tables_number 1
_symmetry_space_group_name_Hall 'P 1'
loop_
_atom_site_label
_atom_site_type_symbol
_atom_site_fract_x
_atom_site_fract_y
_atom_site_fract_z
Pr1 Pr 0.0000 0.0000 0.0000
Gd1 Gd 0.0000 0.1697 0.5851
Gd2 Gd 0.0000 0.5851 0.1697
Mg1 Mg 0.5000 0.3396 0.3396
Mg2 Mg 0.5000 0.5820 0.8316
Mg3 Mg 0.5000 0.8316 0.5820
Ag1 Ag 0.0000 0.5817 0.5817
Au1 Au 0.5000 0.2581 0.9164
Au2 Au 0.5000 0.9164 0.2581
```

Principal peaks in the range 2θ = 10–80°, low angle first:
| 2θ/deg | d [Å] | I/Imax |
| --- | --- | --- |
| 13.03 | 6.793 | 33 |
| 22.68 | 3.920 | 50 |
| 31.75 | 2.818 | 96 |
| 34.46 | 2.603 | 100 |
| 39.89 | 2.260 | 27 |
| 41.61 | 2.170 | 22 |

(8)
The following is a theoretical powder XRD pattern of Li4TcSnO6. It was derived from DFT lattice parameters and positions (PBE), using Cu Kα (λ = 1.5418 Å).

Structure:
```
data_Li4TcSnO6
_cell_length_a 5.2407
_cell_length_b 5.2407
_cell_length_c 5.1620
_cell_angle_alpha 99.82
_cell_angle_beta 99.82
_cell_angle_gamma 119.89
_symmetry_space_group_name_H-M 'P 1'
_symmetry_Int_Tables_number 1
_symmetry_space_group_name_Hall 'P 1'
loop_
_atom_site_label
_atom_site_type_symbol
_atom_site_fract_x
_atom_site_fract_y
_atom_site_fract_z
Li1 Li 0.0000 0.0000 0.0000
Li2 Li 0.1607 0.8393 0.5000
Li3 Li 0.4913 0.5087 0.5000
Li4 Li 0.8447 0.1553 0.5000
Tc1 Tc 0.3325 0.6675 0.0000
Sn1 Sn 0.6664 0.3336 0.0000
O1 O 0.0855 0.4296 0.2366
O2 O 0.2651 0.2704 0.7593
O3 O 0.4239 0.0733 0.2373
O4 O 0.5704 0.9145 0.7634
O5 O 0.7296 0.7349 0.2407
O6 O 0.9267 0.5761 0.7627
```

Principal peaks in the range 2θ = 10–80°, low angle first:
| 2θ/deg | d [Å] | I/Imax |
| --- | --- | --- |
| 18.28 | 4.854 | 100 |
| 20.48 | 4.336 | 39 |
| 23.06 | 3.857 | 29 |
| 34.77 | 2.580 | 55 |
| 42.42 | 2.131 | 27 |
| 42.53 | 2.126 | 54 |

(9)
The following is a theoretical powder XRD pattern of SbP2AuF12. It was derived from DFT lattice parameters and positions (PBE), using Cu Kα (λ = 1.5418 Å).

Structure:
```
data_SbP2AuF12
_cell_length_a 7.6091
_cell_length_b 7.7087
_cell_length_c 8.2374
_cell_angle_alpha 90.19
_cell_angle_beta 92.47
_cell_angle_gamma 118.84
_symmetry_space_group_name_H-M 'P 1'
_symmetry_Int_Tables_number 1
_symmetry_space_group_name_Hall 'P 1'
loop_
_atom_site_label
_atom_site_type_symbol
_atom_site_fract_x
_atom_site_fract_y
_atom_site_fract_z
Sb1 Sb 0.0000 0.0000 0.0000
Sb2 Sb 0.5000 0.5000 0.5000
P1 P 0.1245 0.7876 0.4290
P2 P 0.3139 0.6596 0.9508
P3 P 0.6861 0.3404 0.0492
P4 P 0.8755 0.2124 0.5710
Au1 Au 0.0000 0.0000 0.5000
Au2 Au 0.5000 0.5000 0.0000
F1 F 0.0533 0.2120 0.8550
F2 F 0.1111 0.5633 0.8521
F3 F 0.1416 0.9078 0.8728
F4 F 0.2015 0.7457 0.5960
F5 F 0.2280 0.1626 0.1416
F6 F 0.2468 0.7126 0.1083
F7 F 0.2537 0.4377 0.3786
F8 F 0.3340 0.9250 0.3591
F9 F 0.3773 0.5356 0.6864
F10 F 0.4137 0.2303 0.5441
F11 F 0.4160 0.2647 0.8554
F12 F 0.4413 0.8597 0.8735
F13 F 0.5587 0.1403 0.1265
F14 F 0.5840 0.7353 0.1446
F15 F 0.5863 0.7697 0.4559
F16 F 0.6227 0.4644 0.3136
F17 F 0.6660 0.0750 0.6409
F18 F 0.7463 0.5623 0.6214
F19 F 0.7532 0.2874 0.8917
F20 F 0.7720 0.8374 0.8584
F21 F 0.7985 0.2543 0.4040
F22 F 0.8584 0.0922 0.1272
F23 F 0.8889 0.4367 0.1479
F24 F 0.9467 0.7880 0.1450
```

Principal peaks in the range 2θ = 10–80°, low angle first:
| 2θ/deg | d [Å] | I/Imax |
| --- | --- | --- |
| 13.43 | 6.591 | 100 |
| 21.60 | 4.113 | 66 |
| 22.85 | 3.892 | 70 |
| 25.25 | 3.527 | 29 |
| 25.80 | 3.453 | 26 |
| 27.06 | 3.296 | 29 |

(10)
The following is a theoretical powder XRD pattern of TbBiTeO2. It was derived from DFT lattice parameters and positions (PBE), using Cu Kα (λ = 1.5418 Å).

Structure:
```
data_TbBiTeO2
_cell_length_a 6.8794
_cell_length_b 6.8794
_cell_length_c 6.8794
_cell_angle_alpha 146.53
_cell_angle_beta 146.53
_cell_angle_gamma 48.06
_symmetry_space_group_name_H-M 'P 1'
_symmetry_Int_Tables_number 1
_symmetry_space_group_name_Hall 'P 1'
loop_
_atom_site_label
_atom_site_type_symbol
_atom_site_fract_x
_atom_site_fract_y
_atom_site_fract_z
Tb1 Tb 0.0000 0.0000 0.0000
Bi1 Bi 0.3133 0.3133 0.0000
Te1 Te 0.6534 0.6534 0.0000
O1 O 0.4112 0.9112 0.5000
O2 O 0.9112 0.4112 0.5000
```

Principal peaks in the range 2θ = 10–80°, low angle first:
| 2θ/deg | d [Å] | I/Imax |
| --- | --- | --- |
| 31.07 | 2.878 | 100 |
| 31.95 | 2.801 | 41 |
| 43.23 | 2.093 | 13 |
| 45.81 | 1.981 | 20 |
| 54.72 | 1.677 | 22 |
| 56.39 | 1.632 | 38 |

(11)
The following is a theoretical powder XRD pattern of Li2Pd2O5. It was derived from DFT lattice parameters and positions (PBE), using Cu Kα (λ = 1.5418 Å).

Structure:
```
data_Li2Pd2O5
_cell_length_a 3.7860
_cell_length_b 3.7860
_cell_length_c 7.5080
_cell_angle_alpha 90.00
_cell_angle_beta 90.00
_cell_angle_gamma 90.00
_symmetry_space_group_name_H-M 'P 1'
_symmetry_Int_Tables_number 1
_symmetry_space_group_name_Hall 'P 1'
loop_
_atom_site_label
_atom_site_type_symbol
_atom_site_fract_x
_atom_site_fract_y
_atom_site_fract_z
Li1 Li 0.0000 0.0000 0.0000
Li2 Li 0.0000 0.0000 0.5000
Pd1 Pd 0.5000 0.5000 0.2336
Pd2 Pd 0.5000 0.5000 0.7664
O1 O 0.0000 0.5000 0.1736
O2 O 0.0000 0.5000 0.8264
O3 O 0.5000 0.0000 0.1736
O4 O 0.5000 0.0000 0.8264
O5 O 0.5000 0.5000 0.5000
```

Principal peaks in the range 2θ = 10–80°, low angle first:
| 2θ/deg | d [Å] | I/Imax |
| --- | --- | --- |
| 23.50 | 3.786 | 100 |
| 23.70 | 3.754 | 49 |
| 33.47 | 2.677 | 25 |
| 33.62 | 2.666 | 66 |
| 48.06 | 1.893 | 26 |
| 59.93 | 1.543 | 25 |

(12)
The following is a theoretical powder XRD pattern of LiZrAg2. It was derived from DFT lattice parameters and positions (PBE), using Cu Kα (λ = 1.5418 Å).

Structure:
```
data_LiZrAg2
_cell_length_a 4.6526
_cell_length_b 4.6526
_cell_length_c 4.6526
_cell_angle_alpha 60.00
_cell_angle_beta 60.00
_cell_angle_gamma 60.00
_symmetry_space_group_name_H-M 'P 1'
_symmetry_Int_Tables_number 1
_symmetry_space_group_name_Hall 'P 1'
loop_
_atom_site_label
_atom_site_type_symbol
_atom_site_fract_x
_atom_site_fract_y
_atom_site_fract_z
Li1 Li 0.0000 0.0000 0.0000
Zr1 Zr 0.2500 0.2500 0.2500
Ag1 Ag 0.5000 0.5000 0.5000
Ag2 Ag 0.7500 0.7500 0.7500
```

Principal peaks in the range 2θ = 10–80°, low angle first:
| 2θ/deg | d [Å] | I/Imax |
| --- | --- | --- |
| 23.42 | 3.799 | 29 |
| 27.10 | 3.290 | 10 |
| 38.71 | 2.326 | 100 |
| 45.73 | 1.984 | 14 |
| 55.90 | 1.645 | 16 |
| 70.06 | 1.343 | 32 |